1.
Structure and theoretical PXRD pattern of SrLiLa7Fe3O16 (the GGA+U geometry in the Materials Project; a wavelength of 1.5418 Å).

Most intense lines, 10 to 80 degrees two-theta, by angle:
2θ/deg  I (rel.)  h k l
23.91  39  1 1 1
27.89  17  0 0 4
31.12  100  1 1 3
32.55  74  2 0 0
42.27  19  1 1 5
43.39  40  2 0 4
46.70  38  2 2 0
55.55  15  1 1 7
57.19  37  3 1 3
64.85  20  2 2 6
75.44  12  3 1 7
77.62  12  4 2 0

Crystal structure
```
SrLiLa7Fe3O16
1.0
5.501 0.000 0.000
0.000 5.501 0.000
0.000 0.000 12.795
Sr Li La Fe O
1 1 7 3 16
direct
0.000 0.000 0.000
0.500 0.500 0.643
0.000 0.000 0.285
0.000 0.500 0.510
0.000 0.500 0.781
0.500 0.000 0.510
0.500 0.000 0.781
0.500 0.500 0.002
0.500 0.500 0.287
0.000 0.000 0.649
0.000 0.500 0.142
0.500 0.000 0.142
0.000 0.000 0.466
0.000 0.000 0.810
0.000 0.500 0.325
0.000 0.500 0.964
0.250 0.250 0.148
0.250 0.250 0.643
0.250 0.750 0.148
0.250 0.750 0.643
0.500 0.000 0.325
0.500 0.000 0.964
0.500 0.500 0.462
0.500 0.500 0.827
0.750 0.250 0.148
0.750 0.250 0.643
0.750 0.750 0.148
0.750 0.750 0.643
```

2.
Structure and theoretical PXRD pattern of LiLa2Fe2Te2O12 (the GGA+U geometry in the Materials Project; a wavelength of 1.5418 Å).

Most intense lines, 10 to 80 degrees two-theta, by angle:
2θ/deg  I (rel.)  h k l
21.04  12  0 1 1
25.92  100  -1 1 2
33.49  37  1 1 0
35.02  7  0 0 4
42.83  24  0 2 2
49.24  41  2 -1 4
55.43  23  -2 3 2
57.51  9  -1 1 6
59.87  13  3 0 0
71.29  7  3 0 -4
76.39  9  -4 1 2
78.16  8  -3 2 6

Crystal structure
```
LiLa2Fe2Te2O12
1.0
5.350 0.000 0.000
-2.672 4.636 0.000
-0.003 -0.007 10.248
Li La Fe Te O
1 2 2 2 12
direct
0.000 0.000 0.000
0.666 0.334 0.469
0.666 0.334 0.986
0.332 0.668 0.734
0.999 0.001 0.246
0.333 0.667 0.221
0.999 0.001 0.724
0.033 0.312 0.841
0.035 0.713 0.624
0.037 0.370 0.330
0.050 0.705 0.111
0.274 0.967 0.841
0.287 0.326 0.624
0.295 0.347 0.111
0.331 0.963 0.330
0.630 0.670 0.331
0.653 0.950 0.111
0.674 0.965 0.624
0.689 0.727 0.841
```

3.
Structure and theoretical PXRD pattern of LiLa2Fe2Te2O12 (the GGA+U geometry in the Materials Project; a wavelength of 1.5418 Å).

Most intense lines, 10 to 80 degrees two-theta, by angle:
2θ/deg  I (rel.)  h k l
21.31  11  0 1 1
25.69  100  1 0 2
25.80  20  1 1 -2
33.15  11  0 0 4
34.30  14  1 -1 0
34.40  14  1 2 0
34.52  13  2 1 0
43.32  9  0 2 2
43.47  13  2 2 2
48.46  34  1 -1 4
48.65  17  2 1 -4
54.85  10  1 0 -6

Crystal structure
```
LiLa2Fe2Te2O12
1.0
5.197 0.000 0.000
2.584 4.529 0.000
0.031 0.020 10.810
Li La Fe Te O
1 2 2 2 12
direct
0.000 0.000 0.000
0.000 0.999 0.261
0.001 0.999 0.739
0.334 0.331 0.000
0.666 0.667 0.500
0.334 0.333 0.500
0.665 0.668 0.000
0.003 0.378 0.602
0.005 0.621 0.398
0.350 0.680 0.104
0.352 0.973 0.897
0.375 0.623 0.601
0.377 0.004 0.398
0.624 0.004 0.601
0.626 0.374 0.399
0.672 0.353 0.898
0.678 0.971 0.103
0.969 0.682 0.897
0.974 0.354 0.102
```

4.
Structure and theoretical PXRD pattern of La2MgFe2Mo2O12 (the GGA+U geometry in the Materials Project; a wavelength of 1.5418 Å).

Most intense lines, 10 to 80 degrees two-theta, by angle:
2θ/deg  I (rel.)  h k l
19.50  69  0 1 1
19.67  38  1 0 -1
19.77  36  1 0 1
31.93  100  -1 1 2
32.15  44  0 2 0
32.38  44  1 1 -2
32.67  88  2 0 0
37.81  23  1 0 -3
45.69  29  2 -2 0
45.89  32  0 0 4
47.35  25  2 2 0
57.65  22  3 -1 2

Crystal structure
```
La2MgFe2Mo2O12
1.0
5.478 0.000 0.000
-0.188 5.569 0.000
-0.043 -0.038 7.911
La Mg Fe Mo O
2 1 2 2 12
direct
0.000 0.000 0.000
0.482 0.407 0.502
0.500 0.487 0.006
0.492 0.943 0.749
0.986 0.460 0.251
0.494 0.939 0.255
0.982 0.457 0.748
0.056 0.458 0.499
0.190 0.731 0.798
0.197 0.748 0.205
0.292 0.255 0.192
0.299 0.256 0.811
0.424 0.972 0.502
0.566 0.887 0.999
0.670 0.632 0.280
0.682 0.643 0.716
0.773 0.145 0.272
0.795 0.161 0.724
0.877 0.432 0.001
```